For In2Au2SeS3, a GGA-PBE-relaxed structure gives the theoretical XRD peak list in this record (Cu Kα (λ = 1.5418 Å)).
Lines closer than 0.1° are merged.

Structural model:
Cell: 13.085 5.909 5.907 Å, 90.00 115.89 90.00°
Space group C2 (No. 5)
Symmetry-distinct sites (fractional):
In1 0.125 0.000 0.373
Au1 0.137 0.532 0.863
Se1 0.000 0.266 0.000
S1 0.000 0.754 0.500
S2 0.249 0.247 0.744

Main lines, in order of falling intensity (2θ from 15° to 90°):
d 3.388, 26.3°, I 100; d 3.426, 26.0°, I 99; d 2.087, 43.4°, I 74; d 1.784, 51.2°, I 33; d 2.954, 30.3°, I 31; d 2.102, 43.0°, I 21; d 2.068, 43.8°, I 16; d 1.789, 51.1°, I 16; d 2.943, 30.4°, I 15; d 1.772, 51.6°, I 13



For InSnAuSe2S, a GGA-PBE-relaxed structure gives the theoretical XRD peak list in this record (Cu Kα (λ = 1.5418 Å)).
Lines closer than 0.1° are merged.

Structural model:
Cell: 3.942 14.031 10.828 Å, 90.00 90.00 90.00°
Space group Cmcm (No. 63)
Symmetry-distinct sites (fractional):
In1 0.000 0.178 0.250
Sn1 0.000 0.500 0.000
Au1 0.000 0.171 0.750
Se1 0.000 0.140 0.525
S1 0.000 0.457 0.750

Main lines, in order of falling intensity (2θ from 15° to 90°):
d 3.014, 29.6°, I 100; d 2.014, 45.0°, I 58; d 4.286, 20.7°, I 39; d 2.707, 33.1°, I 38; d 2.106, 42.9°, I 28; d 2.338, 38.5°, I 18; d 1.971, 46.0°, I 16; d 1.593, 57.9°, I 15; d 1.770, 51.7°, I 15; d 1.668, 55.0°, I 12



For InTcAuSe2S, a GGA-PBE-relaxed structure gives the theoretical XRD peak list in this record (Cu Kα (λ = 1.5418 Å)).
Lines closer than 0.1° are merged.

Structural model:
Cell: 3.380 16.826 9.356 Å, 90.00 90.00 90.00°
Space group Cmcm (No. 63)
Symmetry-distinct sites (fractional):
In1 0.000 0.163 0.250
Tc1 0.000 0.500 0.000
Au1 0.000 0.207 0.750
Se1 0.000 0.110 0.534
S1 0.000 0.464 0.750

Main lines, in order of falling intensity (2θ from 15° to 90°):
d 4.088, 21.7°, I 100; d 2.895, 30.9°, I 89; d 2.124, 42.6°, I 89; d 1.819, 50.1°, I 40; d 2.339, 38.5°, I 35; d 3.125, 28.6°, I 17; d 1.305, 72.4°, I 17; d 1.918, 47.4°, I 17; d 2.052, 44.1°, I 16; d 1.690, 54.3°, I 15



For ZrInAuSeS2, a GGA-PBE-relaxed structure gives the theoretical XRD peak list in this record (Cu Kα (λ = 1.5418 Å)).
Lines closer than 0.1° are merged.

Structural model:
Cell: 3.783 14.828 10.393 Å, 90.00 90.00 90.00°
Space group Cmcm (No. 63)
Symmetry-distinct sites (fractional):
Zr1 0.000 0.000 0.000
In1 0.000 0.305 0.250
Au1 0.000 0.340 0.750
Se1 0.000 0.050 0.750
S1 0.000 0.380 0.527

Main lines, in order of falling intensity (2θ from 15° to 90°):
d 3.003, 29.7°, I 100; d 2.599, 34.5°, I 62; d 1.965, 46.2°, I 50; d 4.255, 20.9°, I 40; d 5.197, 17.1°, I 38; d 2.129, 42.5°, I 30; d 2.886, 31.0°, I 17; d 1.892, 48.1°, I 15; d 1.529, 60.5°, I 15; d 1.192, 80.6°, I 14



For InSiTe2AuS, a GGA-PBE-relaxed structure gives the theoretical XRD peak list in this record (Cu Kα (λ = 1.5418 Å)).
Lines closer than 0.1° are merged.

Structural model:
Cell: 4.093 16.551 9.407 Å, 90.00 90.00 90.00°
Space group Cmcm (No. 63)
Symmetry-distinct sites (fractional):
In1 0.000 0.243 0.250
Si1 0.000 0.000 0.000
Te1 0.000 0.385 0.039
Au1 0.000 0.370 0.750
S1 0.000 0.024 0.250

Main lines, in order of falling intensity (2θ from 15° to 90°):
d 3.287, 27.1°, I 100; d 2.932, 30.5°, I 94; d 3.973, 22.4°, I 87; d 2.269, 39.7°, I 84; d 2.574, 34.9°, I 76; d 2.046, 44.3°, I 65; d 1.989, 45.6°, I 60; d 3.104, 28.8°, I 60; d 2.483, 36.2°, I 60; d 2.070, 43.7°, I 59



For InSnAu3S4, a GGA-PBE-relaxed structure gives the theoretical XRD peak list in this record (Cu Kα (λ = 1.5418 Å)).
Lines closer than 0.1° are merged.

Structural model:
Cell: 6.229 7.478 10.324 Å, 90.00 102.20 90.00°
Space group P2_1/m (No. 11)
Symmetry-distinct sites (fractional):
In1 0.128 0.250 0.390
Sn1 0.075 0.250 0.777
Au1 0.374 0.556 0.101
Au2 0.472 0.250 0.625
S1 0.069 0.750 0.015
S2 0.179 0.750 0.435
S3 0.297 0.514 0.748

Main lines, in order of falling intensity (2θ from 15° to 90°):
d 3.506, 25.4°, I 100; d 4.574, 19.4°, I 69; d 3.192, 28.0°, I 67; d 2.101, 43.1°, I 62; d 2.891, 30.9°, I 58; d 2.526, 35.5°, I 56; d 2.549, 35.2°, I 42; d 2.946, 30.3°, I 40; d 2.165, 41.7°, I 38; d 3.249, 27.4°, I 38